Record 1
Diffraction record for Nb3FeSe6. The powder XRD pattern is computed, not measured: it uses a GGA-PBE-relaxed structure and copper Kα.

Top 12 peaks for 10° ≤ 2θ ≤ 90°, most intense first:
Position (°2θ), Rel. int.
41.29, 100
30.35, 54
52.33, 50
36.54, 47
32.80, 36
14.01, 24
82.24, 24
68.75, 21
59.61, 14
58.41, 11
46.81, 9
69.92, 9

Atomic structure:
a b c (Å): 6.0562 6.0562 12.6402
angles (deg): 90.00 90.00 120.00
Space group P6_322 (No. 182)
Asymmetric unit:
1 Nb 0.0000 0.0000 0.0000
2 Nb 0.3333 0.6667 0.0011
3 Fe 0.3333 0.6667 0.2500
4 Se 0.0038 0.3330 0.8668

Record 2
Diffraction record for Ta6Cr3Ni3C2. The powder XRD pattern is computed, not measured: it uses a GGA-PBE-relaxed structure and copper Kα.

Top 12 peaks for 10° ≤ 2θ ≤ 90°, most intense first:
Position (°2θ), Rel. int.
41.19, 100
40.99, 80
40.91, 75
38.47, 72
31.31, 67
38.77, 48
44.85, 46
69.80, 42
69.69, 41
34.10, 37
70.11, 27
34.25, 25

Atomic structure:
a b c (Å): 8.0270 8.1196 11.4474
angles (deg): 90.00 90.00 90.00
Space group Imm2 (No. 44)
Asymmetric unit:
1 Ta 0.0000 0.0000 0.0000
2 Ta 0.0000 0.0000 0.3856
3 Ta 0.0000 0.5000 0.1386
4 Ta 0.0000 0.5000 0.7486
5 Ta 0.1929 0.1924 0.1920
6 Ta 0.1945 0.3062 0.9419
7 Cr 0.0000 0.2473 0.5681
8 Cr 0.0000 0.3462 0.3659
9 Cr 0.2467 0.5000 0.3163
10 Ni 0.0000 0.1587 0.7711
11 Ni 0.1580 0.5000 0.5221
12 Ni 0.1588 0.0000 0.6126
13 C 0.0000 0.2486 0.0672
14 C 0.2502 0.0000 0.3168

Record 3
Diffraction record for BaMg2Bi2. The powder XRD pattern is computed, not measured: it uses a GGA-PBE-relaxed structure and copper Kα.

Top 12 peaks for 10° ≤ 2θ ≤ 90°, most intense first:
Position (°2θ), Rel. int.
23.39, 100
29.93, 46
36.43, 44
38.61, 31
43.75, 20
58.20, 17
57.87, 14
47.84, 13
67.01, 13
42.58, 12
61.59, 12
54.13, 12

Atomic structure:
a b c (Å): 4.9326 4.9326 8.3494
angles (deg): 90.00 90.00 120.00
Space group P-3m1 (No. 164)
Asymmetric unit:
1 Ba 0.0000 0.0000 0.0000
2 Mg 0.3333 0.6667 0.3772
3 Bi 0.3333 0.6667 0.7359

Record 4
Diffraction record for Ba4CaRh4O12. The powder XRD pattern is computed, not measured: it uses a GGA-PBE-relaxed structure and copper Kα.

Top 12 peaks for 10° ≤ 2θ ≤ 90°, most intense first:
Position (°2θ), Rel. int.
30.43, 100
30.95, 87
33.05, 81
30.19, 80
42.51, 57
28.40, 54
25.98, 46
23.54, 24
46.11, 23
42.43, 22
46.82, 21
62.35, 21

Atomic structure:
a b c (Å): 10.4326 5.7778 10.4700
angles (deg): 90.00 101.25 90.00
Space group Cm (No. 8)
Asymmetric unit:
1 Ba 0.0000 0.0000 0.0000
2 Ba 0.0641 0.5000 0.3469
3 Ba 0.3019 0.0000 0.8439
4 Ba 0.4175 0.5000 0.6100
5 Ca 0.3596 0.5000 0.2417
6 Rh 0.1017 0.5000 0.6889
7 Rh 0.1571 0.5000 0.9618
8 Rh 0.2321 0.0000 0.4823
9 Rh 0.2555 0.0000 0.2123
10 O 0.0165 0.5000 0.0637
11 O 0.0639 0.2697 0.8252
12 O 0.0856 0.0000 0.2902
13 O 0.1300 0.2480 0.5604
14 O 0.2600 0.2503 0.0775
15 O 0.2807 0.5000 0.8137
16 O 0.3096 0.2298 0.3712
17 O 0.3913 0.0000 0.6269

Record 5
Diffraction record for Na2H6C4O7. The powder XRD pattern is computed, not measured: it uses a GGA-PBE-relaxed structure and copper Kα.

Top 12 peaks for 10° ≤ 2θ ≤ 90°, most intense first:
Position (°2θ), Rel. int.
34.77, 100
34.30, 98
27.11, 77
12.03, 72
33.31, 62
30.93, 41
48.05, 37
29.86, 33
33.01, 31
30.14, 31
44.88, 31
24.06, 29

Atomic structure:
a b c (Å): 16.3260 3.5866 14.7977
angles (deg): 90.00 115.72 90.00
Space group C2/c (No. 15)
Asymmetric unit:
1 Na 0.1478 0.2464 0.2210
2 H 0.0117 0.2543 0.5861
3 H 0.0317 0.3685 0.3093
4 H 0.0895 0.2999 0.5510
5 C 0.1843 0.3561 0.9761
6 C 0.2419 0.2522 0.9262
7 O 0.0000 0.2081 0.2500
8 O 0.0779 0.2354 0.6096
9 O 0.1050 0.4885 0.9470
10 O 0.2315 0.2573 0.8363

Record 6
Diffraction record for K3Pd. The powder XRD pattern is computed, not measured: it uses a GGA-PBE-relaxed structure and copper Kα.

Top 12 peaks for 10° ≤ 2θ ≤ 90°, most intense first:
Position (°2θ), Rel. int.
28.39, 100
32.90, 50
56.01, 39
47.21, 34
16.28, 23
23.10, 21
76.22, 15
78.57, 14
36.91, 13
58.74, 11
87.83, 10
40.58, 10

Atomic structure:
a b c (Å): 5.4450 5.4450 5.4450
angles (deg): 90.00 90.00 90.00
Space group Pm-3m (No. 221)
Asymmetric unit:
1 K 0.0000 0.0000 0.5000
2 Pd 0.5000 0.5000 0.5000